Calculated X-ray diffraction stick pattern
Compound: Li9Mn2Co5O16
Radiation: λ = 1.5418 Å (Cu Kα)
Structure: a DFT-relaxed cell (GGA+U, the Materials Project)
Peak positions follow from Bragg's law for the DFT cell and can differ from measured ones.

Structure:
```
32
Lattice="8.3717 0.0000 0.0000 0.0000 2.9195 0.0000 -0.0613 0.0000 11.9157" Properties=species:S:1:pos:R:3 pbc="T T T"
Li 0.0000 0.0000 0.0000
Li -0.0307 0.0000 5.9578
Li 2.0616 1.4598 1.5991
Li 2.1512 1.4598 7.2924
Li 4.1453 0.0000 3.0688
Li 4.1552 0.0000 5.9578
Li 4.1651 0.0000 8.8469
Li 6.1592 1.4598 4.6233
Li 6.2488 1.4598 10.3166
Mn 2.0242 1.4598 10.4315
Mn 6.2861 1.4598 1.4841
Co 0.0446 0.0000 3.0659
Co 2.2892 1.4598 4.5267
Co 4.1858 0.0000 0.0000
Co 6.0212 1.4598 7.3889
Co 8.2657 0.0000 8.8498
O -0.0201 1.4598 7.5873
O 0.0747 1.4598 10.3199
O 2.0180 0.0000 3.0301
O 1.9716 0.0000 11.7559
O 2.0376 0.0000 5.8249
O 2.0556 0.0000 9.1463
O 3.9689 1.4598 10.5466
O 4.0774 1.4598 4.4246
O 4.2330 1.4598 7.4910
O 4.3415 1.4598 1.3691
O 6.2548 0.0000 2.7694
O 6.2728 0.0000 6.0907
O 6.3388 0.0000 0.1598
O 6.2924 0.0000 8.8856
O 8.2357 1.4598 1.5957
O 8.3305 1.4598 4.3284
```

Largest 8 diffraction maxima, in order of falling intensity, 5 to 70 degrees two-theta:
d_spacing  I (rel.)
4.865  100
2.085  54
2.093  25
2.500  25
1.480  14
1.613  13
2.522  13
1.474  13